# 1
Diffraction record for CsCeBe2F8. The X-ray powder pattern is calculated, not measured: it uses a GGA-PBE-relaxed structure and CuKα.

Largest 6 diffraction maxima, sorted by position, 2θ = 10–90°:
| two_theta | d_spacing | intensity |
| --- | --- | --- |
| 20.6 | 4.318 | 55 |
| 23.8 | 3.732 | 100 |
| 33.9 | 2.647 | 29 |
| 34.1 | 2.631 | 23 |
| 40.0 | 2.253 | 63 |
| 40.2 | 2.242 | 22 |

Atomic structure:
Cell lengths 5.2946, 5.2946, 25.6954 Å; angles 90.00, 90.00, 120.00 degrees
Space group R-3 (No. 148, hexagonal axes)
One atom of each set of equivalent atoms:
Cs  0.0000  0.0000  0.0000 (multiplicity 3)
Ce  0.0000  0.0000  0.5000 (multiplicity 3)
Be  0.0000  0.0000  0.2444 (multiplicity 6)
F  0.0000  0.0000  0.3023 (multiplicity 6)
F  0.0156  0.2854  0.2203 (multiplicity 18)

***

# 2
Diffraction record for Tb8Pm5Dy. The X-ray powder pattern is calculated, not measured: it uses a GGA-PBE-relaxed structure and CuKα.

Largest 6 diffraction maxima, sorted by position, 2θ = 10–90°:
| two_theta | d_spacing | intensity |
| --- | --- | --- |
| 28.0 | 3.190 | 68 |
| 29.2 | 3.061 | 71 |
| 29.3 | 3.046 | 84 |
| 33.7 | 2.660 | 100 |
| 34.3 | 2.611 | 52 |
| 34.7 | 2.583 | 57 |

Atomic structure:
Cell lengths 9.6326, 9.6326, 10.1427 Å; angles 90.00, 90.00, 90.00 degrees
Space group I-4 (No. 82)
One atom of each set of equivalent atoms:
Tb  0.0706  0.1747  0.3454 (multiplicity 8)
Tb  0.0857  0.3226  0.0031 (multiplicity 8)
Pm  0.0000  0.5000  0.2500 (multiplicity 2)
Pm  0.1094  0.2876  0.6725 (multiplicity 8)
Dy  0.0000  0.0000  0.0000 (multiplicity 2)

***

Number 2 is which compound? Tb8Pm5Dy